[1]
Starting from a cell relaxed with PBE, the X-ray powder pattern of Tb2YTl3 was computed for Cu Kα X-rays.
Peak positions follow from Bragg's law for the DFT cell and can differ from measured ones.

The 6 most intense peaks (15 to 90 degrees two-theta), in order of rising 2θ:
- 32.8 deg, d 2.732, I = 100.0, (1 0 3)
- 34.4 deg, d 2.604, I = 43.9, (1 1 0)
- 49.5 deg, d 1.841, I = 15.9, (2 0 0)
- 57.4 deg, d 1.604, I = 20.5, (1 1 6)
- 60.7 deg, d 1.527, I = 34.8, (2 1 3)
- 68.7 deg, d 1.366, I = 12.1, (2 0 6)

Unit cell a=3.6825 b=3.6825 c=12.2210 alpha=90.00 beta=90.00 gamma=90.00
Space group P4/mmm (No. 123)
Symmetry-distinct sites (fractional):
Tb 0.0000 0.0000 0.1669 [2 per cell]
Y 0.0000 0.0000 0.5000 [1 per cell]
Tl 0.5000 0.5000 0.0000 [1 per cell]
Tl 0.5000 0.5000 0.3337 [2 per cell]

***

[2]
Starting from a cell relaxed with PBE, the X-ray powder pattern of Cs2TcAuCl6 was computed for Cu Kα X-rays.
Peak positions follow from Bragg's law for the DFT cell and can differ from measured ones.

The 6 most intense peaks (15 to 90 degrees two-theta), in order of rising 2θ:
- 22.3 deg, d 3.979, I = 56.1, (2 0 0)
- 23.3 deg, d 3.824, I = 100.0, (1 1 2)
- 31.8 deg, d 2.814, I = 51.0, (2 2 0)
- 39.8 deg, d 2.266, I = 44.2, (3 1 2)
- 41.4 deg, d 2.180, I = 21.5, (2 0 4)
- 47.6 deg, d 1.912, I = 30.5, (2 2 4)

Unit cell a=7.9582 b=7.9582 c=10.4243 alpha=90.00 beta=90.00 gamma=90.00
Space group I4/mmm (No. 139)
Symmetry-distinct sites (fractional):
Cs 0.0000 0.5000 0.2500 [4 per cell]
Tc 0.0000 0.0000 0.0000 [2 per cell]
Au 0.0000 0.0000 0.5000 [2 per cell]
Cl 0.0000 0.0000 0.2765 [4 per cell]
Cl 0.2109 0.2109 0.0000 [8 per cell]